This entry pairs a crystal structure of Tl2HgBi2Pb2 with its calculated powder XRD pattern. Radiation: Cu Kα (λ = 1.5418 Å). Structure: DFT lattice parameters and positions (GGA-PBE).

Cell and atoms:
```
data_Tl2HgBi2Pb2
_chemical_formula_sum 'Tl2 Hg1 Bi2 Pb2'
_space_group_name_H-M_alt 'P -1'
_space_group_IT_number 2
_cell_length_a 5.2472
_cell_length_b 6.4434
_cell_length_c 7.1388
_cell_angle_alpha 91.23
_cell_angle_beta 90.24
_cell_angle_gamma 113.68
loop_
_space_group_symop_operation_xyz
'x,y,z'
'-x,-y,-z'
loop_
_atom_site_label
_atom_site_type_symbol
_atom_site_fract_x
_atom_site_fract_y
_atom_site_fract_z
_atom_site_occupancy
Tl1 Tl 0.0693 0.1376 0.2629 1
Hg1 Hg 0.5000 0.0000 0.0000 1
Bi1 Bi 0.3670 0.7375 0.4328 1
Pb1 Pb 0.2212 0.4410 0.8232 1
```

Peak list (10 most intense, 5 to 70 degrees two-theta, sorted by position)
2theta  I_rel  index
31.01  50  1 0 -2
31.21  100  1 1 1
31.35  53  -1 2 1
32.55  45  0 2 -1
34.18  42  2 -1 0
41.28  21  0 1 3
47.74  16  2 1 -1
48.10  15  2 -3 1
54.63  20  2 0 3
59.45  17  -3 3 1


This entry pairs a crystal structure of TbNd3Er7 with its calculated powder XRD pattern. Radiation: Cu Kα (λ = 1.5418 Å). Structure: DFT lattice parameters and positions (GGA-PBE).

Cell and atoms:
```
data_TbNd3Er7
_chemical_formula_sum 'Tb2 Nd6 Er14'
_space_group_name_H-M_alt 'I m m m'
_space_group_IT_number 71
_space_group_name_Hall '-I 2 2'
_cell_length_a 5.8174
_cell_length_b 11.1472
_cell_length_c 11.1821
_cell_angle_alpha 90.00
_cell_angle_beta 90.00
_cell_angle_gamma 90.00
loop_
_atom_site_label
_atom_site_type_symbol
_atom_site_fract_x
_atom_site_fract_y
_atom_site_fract_z
_atom_site_occupancy
Tb1 Tb 0.0000 0.0000 0.0000 1
Nd1 Nd 0.0000 0.0000 0.5000 1
Nd2 Nd 0.0000 0.5000 0.2130 1
Er1 Er 0.0000 0.2086 0.3049 1
Er2 Er 0.0000 0.2942 0.0000 1
Er3 Er 0.0000 0.5000 0.5000 1
```

Peak list (10 most intense, 5 to 70 degrees two-theta, sorted by position)
2theta  I_rel  index
25.23  19  0 3 1
28.46  15  1 0 3
30.74  40  2 0 0
32.02  14  0 0 4
32.12  18  0 4 0
32.76  100  1 2 3
40.17  11  2 3 1
45.02  25  2 4 0
55.95  22  3 2 3
62.73  10  1 7 2


This entry pairs a crystal structure of Pr3Nd6Y2 with its calculated powder XRD pattern. Radiation: Cu Kα (λ = 1.5418 Å). Structure: DFT lattice parameters and positions (GGA-PBE).

Cell and atoms:
```
data_Pr3Nd6Y2
_chemical_formula_sum 'Pr9 Nd18 Y6'
_space_group_name_H-M_alt 'R -3 m'
_space_group_IT_number 166
_space_group_name_Hall '-R 3 2"'
_cell_length_a 3.6708
_cell_length_b 3.6708
_cell_length_c 98.9766
_cell_angle_alpha 90.00
_cell_angle_beta 90.00
_cell_angle_gamma 120.00
loop_
_atom_site_label
_atom_site_type_symbol
_atom_site_fract_x
_atom_site_fract_y
_atom_site_fract_z
_atom_site_occupancy
Pr1 Pr 0.0000 0.0000 0.0000 1
Pr2 Pr 0.0000 0.0000 0.2722 1
Nd1 Nd 0.0000 0.0000 0.0919 1
Nd2 Nd 0.0000 0.0000 0.1820 1
Nd3 Nd 0.0000 0.0000 0.3639 1
Y1 Y 0.0000 0.0000 0.4549 1
```

Peak list (8 most intense, 5 to 70 degrees two-theta, sorted by position)
2theta  I_rel  index
8.04  1  0 0 9
10.73  1  0 0 12
28.10  1  1 0 1
29.80  100  0 1 11
34.55  51  1 0 22
49.66  36  1 1 0
59.00  42  2 0 11
61.90  12  0 2 22


This entry pairs a crystal structure of Tc4N3 with its calculated powder XRD pattern. Radiation: Cu Kα (λ = 1.5418 Å). Structure: DFT lattice parameters and positions (GGA-PBE).

Cell and atoms:
```
data_Tc4N3
_chemical_formula_sum 'Tc12 N9'
_space_group_name_H-M_alt 'R -3 m'
_space_group_IT_number 166
_space_group_name_Hall '-R 3 2"'
_cell_length_a 2.7954
_cell_length_b 2.7954
_cell_length_c 32.5194
_cell_angle_alpha 90.00
_cell_angle_beta 90.00
_cell_angle_gamma 120.00
loop_
_atom_site_label
_atom_site_type_symbol
_atom_site_fract_x
_atom_site_fract_y
_atom_site_fract_z
_atom_site_occupancy
Tc1 Tc 0.0000 0.0000 0.1212 1
Tc2 Tc 0.0000 0.0000 0.3660 1
N1 N 0.0000 0.0000 0.2563 1
N2 N 0.0000 0.0000 0.5000 1
```

Peak list (10 most intense, 5 to 70 degrees two-theta, sorted by position)
2theta  I_rel  index
24.64  7  0 0 9
33.06  39  0 0 12
38.81  100  1 0 4
43.51  97  0 1 8
52.61  12  1 0 13
59.37  25  1 0 16
59.71  6  0 0 21
61.81  8  0 1 17
66.95  31  1 1 0
69.66  8  0 1 20


This entry pairs a crystal structure of Tl2Sb3O9 with its calculated powder XRD pattern. Radiation: Cu Kα (λ = 1.5418 Å). Structure: DFT lattice parameters and positions (GGA-PBE).

Cell and atoms:
```
data_Tl2Sb3O9
_chemical_formula_sum 'Tl8 Sb12 O36'
_space_group_name_H-M_alt 'P n -3'
_space_group_IT_number 201
_cell_length_a 9.5780
_cell_length_b 9.5780
_cell_length_c 9.5780
_cell_angle_alpha 90.00
_cell_angle_beta 90.00
_cell_angle_gamma 90.00
loop_
_space_group_symop_operation_xyz
'x,y,z'
'-x,-y,-z'
'-x+1/2,-y+1/2,z'
'x+1/2,y+1/2,-z'
'x,-y+1/2,-z+1/2'
'-x,y+1/2,z+1/2'
'-x+1/2,y,-z+1/2'
'x+1/2,-y,z+1/2'
'z,x,y'
'-z,-x,-y'
'z,-x+1/2,-y+1/2'
'-z,x+1/2,y+1/2'
'-z+1/2,x,-y+1/2'
'z+1/2,-x,y+1/2'
'-z+1/2,-x+1/2,y'
'z+1/2,x+1/2,-y'
'y,z,x'
'-y,-z,-x'
'-y+1/2,z,-x+1/2'
'y+1/2,-z,x+1/2'
'-y+1/2,-z+1/2,x'
'y+1/2,z+1/2,-x'
'y,-z+1/2,-x+1/2'
'-y,z+1/2,x+1/2'
loop_
_atom_site_label
_atom_site_type_symbol
_atom_site_fract_x
_atom_site_fract_y
_atom_site_fract_z
_atom_site_occupancy
Tl1 Tl 0.1120 0.1120 0.1120 1
Sb1 Sb 0.0870 0.2500 0.7500 1
O1 O 0.0386 0.7441 0.4150 1
O2 O 0.1129 0.7500 0.7500 1
```

Peak list (10 most intense, 5 to 70 degrees two-theta, sorted by position)
2theta  I_rel  index
16.03  33  1 1 1
27.95  72  2 2 1
29.49  100  3 1 0
35.05  31  3 2 1
38.76  15  3 2 2
39.93  19  3 3 0
48.46  50  4 1 3
55.08  17  5 2 2
57.75  20  6 0 0
62.05  13  6 2 1


This entry pairs a crystal structure of Ca2MgNi4P3 with its calculated powder XRD pattern. Radiation: Cu Kα (λ = 1.5418 Å). Structure: DFT lattice parameters and positions (GGA-PBE).

Cell and atoms:
```
data_Ca2MgNi4P3
_chemical_formula_sum 'Ca2 Mg1 Ni4 P3'
_space_group_name_H-M_alt 'P -4 m 2'
_space_group_IT_number 115
_cell_length_a 3.9397
_cell_length_b 3.9397
_cell_length_c 9.7775
_cell_angle_alpha 90.00
_cell_angle_beta 90.00
_cell_angle_gamma 90.00
loop_
_space_group_symop_operation_xyz
'x,y,z'
'y,-x,-z'
'-x,-y,z'
'-y,x,-z'
'-x,y,z'
'-y,-x,-z'
'x,-y,z'
'y,x,-z'
loop_
_atom_site_label
_atom_site_type_symbol
_atom_site_fract_x
_atom_site_fract_y
_atom_site_fract_z
_atom_site_occupancy
Ca1 Ca 0.0000 0.5000 0.2375 1
Mg1 Mg 0.0000 0.0000 0.5000 1
Ni1 Ni 0.0000 0.0000 0.0000 1
Ni2 Ni 0.0000 0.5000 0.6476 1
Ni3 Ni 0.5000 0.5000 0.0000 1
P1 P 0.0000 0.5000 0.8746 1
P2 P 0.5000 0.5000 0.5000 1
```

Peak list (10 most intense, 5 to 70 degrees two-theta, sorted by position)
2theta  I_rel  index
9.04  16  0 0 1
24.36  14  1 0 1
33.45  15  1 1 1
35.76  35  1 0 3
37.15  100  1 1 2
46.08  59  2 0 0
49.62  34  1 1 4
52.22  23  1 0 5
59.66  14  2 1 3
67.21  18  2 2 0